# 1
This entry pairs a crystal structure of TbZn2B2O6 with its calculated powder diffractogram. Radiation: Cu Kα (weighted mean of Kα1 and Kα2). Structure: a cell relaxed with PBE.

The 10 most intense peaks (2θ from 10° to 90°), by angle:
2θ = 12.44°, intensity 43; 2θ = 24.01°, intensity 100; 2θ = 32.54°, intensity 76; 2θ = 35.82°, intensity 36; 2θ = 38.06°, intensity 12; 2θ = 43.59°, intensity 27; 2θ = 49.17°, intensity 19; 2θ = 53.16°, intensity 28; 2θ = 57.63°, intensity 26; 2θ = 62.31°, intensity 19

Unit cell a=5.0136 b=5.0136 c=7.1150 alpha=90.00 beta=90.00 gamma=120.00
Space group P-3 (No. 147)
One atom of each set of equivalent atoms:
Tb1 0.0000 0.0000 0.0000 [1 per cell]
Zn1 0.3333 0.6667 0.3088 [2 per cell]
B1 0.3333 0.6667 0.7963 [2 per cell]
O1 0.0578 0.6684 0.8014 [6 per cell]

# 2
This entry pairs a crystal structure of Tc2BO8 with its calculated powder diffractogram. Radiation: Cu Kα (weighted mean of Kα1 and Kα2). Structure: a cell relaxed with PBE.

The 10 most intense peaks (2θ from 10° to 90°), by angle:
2θ = 16.38°, intensity 32; 2θ = 19.06°, intensity 33; 2θ = 21.32°, intensity 100; 2θ = 22.42°, intensity 90; 2θ = 22.94°, intensity 40; 2θ = 26.83°, intensity 38; 2θ = 29.02°, intensity 16; 2θ = 31.82°, intensity 22; 2θ = 33.12°, intensity 28; 2θ = 44.83°, intensity 16

Unit cell a=9.347 b=6.647 c=6.176 alpha=90.00 beta=94.95 gamma=90.00
Space group C2/m (No. 12)
One atom of each set of equivalent atoms:
Tc1 0.204 0.000 0.298 [4 per cell]
B1 0.000 0.000 0.000 [2 per cell]
O1 0.091 0.174 0.126 [8 per cell]
O2 0.118 0.500 0.741 [4 per cell]
O3 0.176 0.000 0.569 [4 per cell]

# 3
This entry pairs a crystal structure of TlTc2BO8 with its calculated powder diffractogram. Radiation: Cu Kα (weighted mean of Kα1 and Kα2). Structure: a cell relaxed with PBE.

The 10 most intense peaks (2θ from 10° to 90°), by angle:
2θ = 10.31°, intensity 45; 2θ = 22.15°, intensity 100; 2θ = 22.63°, intensity 57; 2θ = 25.40°, intensity 76; 2θ = 28.21°, intensity 36; 2θ = 29.62°, intensity 40; 2θ = 36.46°, intensity 35; 2θ = 37.33°, intensity 29; 2θ = 41.10°, intensity 16; 2θ = 43.43°, intensity 29

Unit cell a=8.050 b=6.326 c=8.841 alpha=90.00 beta=103.87 gamma=90.00
Space group C2/m (No. 12)
One atom of each set of equivalent atoms:
Tl1 0.000 0.000 0.000 [2 per cell]
Tc1 0.141 0.500 0.266 [4 per cell]
B1 0.000 0.000 0.500 [2 per cell]
O1 0.027 0.270 0.283 [8 per cell]
O2 0.162 0.000 0.553 [4 per cell]
O3 0.192 0.500 0.084 [4 per cell]

# 4
This entry pairs a crystal structure of ThB2O5 with its calculated powder diffractogram. Radiation: Cu Kα (weighted mean of Kα1 and Kα2). Structure: a cell relaxed with PBE.

The 10 most intense peaks (2θ from 10° to 90°), by angle:
2θ = 15.67°, intensity 50; 2θ = 16.34°, intensity 100; 2θ = 17.08°, intensity 54; 2θ = 25.42°, intensity 55; 2θ = 25.54°, intensity 66; 2θ = 26.68°, intensity 59; 2θ = 28.40°, intensity 50; 2θ = 36.34°, intensity 27; 2θ = 44.62°, intensity 32; 2θ = 47.90°, intensity 28

Unit cell a=11.555 b=7.009 c=10.604 alpha=90.00 beta=101.75 gamma=90.00
Space group C2/c (No. 15)
One atom of each set of equivalent atoms:
Th1 0.183 0.214 0.308 [8 per cell]
B1 0.023 0.254 0.496 [8 per cell]
B2 0.135 0.290 0.858 [8 per cell]
O1 0.025 0.210 0.130 [8 per cell]
O2 0.041 0.311 0.916 [8 per cell]
O3 0.145 0.252 0.529 [8 per cell]
O4 0.184 0.118 0.834 [8 per cell]
O5 0.185 0.449 0.813 [8 per cell]

# 5
This entry pairs a crystal structure of TiBO3 with its calculated powder diffractogram. Radiation: Cu Kα (weighted mean of Kα1 and Kα2). Structure: a cell relaxed with PBE.

The 10 most intense peaks (2θ from 10° to 90°), by angle:
2θ = 24.88°, intensity 49; 2θ = 32.47°, intensity 100; 2θ = 38.28°, intensity 16; 2θ = 42.49°, intensity 35; 2θ = 46.20°, intensity 22; 2θ = 53.52°, intensity 40; 2θ = 53.86°, intensity 19; 2θ = 61.50°, intensity 14; 2θ = 65.56°, intensity 13; 2θ = 69.18°, intensity 23

Unit cell a=4.7028 b=4.7028 c=14.9896 alpha=90.00 beta=90.00 gamma=120.00
Space group R-3c (No. 167, hexagonal axes)
One atom of each set of equivalent atoms:
Ti1 0.0000 0.0000 0.0000 [6 per cell]
B1 0.0000 0.0000 0.2500 [6 per cell]
O1 0.0000 0.2953 0.2500 [18 per cell]

# 6
This entry pairs a crystal structure of Ti4BO with its calculated powder diffractogram. Radiation: Cu Kα (weighted mean of Kα1 and Kα2). Structure: a cell relaxed with PBE.

The 10 most intense peaks (2θ from 10° to 90°), by angle:
2θ = 24.89°, intensity 11; 2θ = 35.49°, intensity 36; 2θ = 38.07°, intensity 100; 2θ = 39.84°, intensity 31; 2θ = 49.61°, intensity 14; 2θ = 51.06°, intensity 15; 2θ = 58.62°, intensity 9; 2θ = 62.47°, intensity 20; 2θ = 65.43°, intensity 14; 2θ = 77.85°, intensity 10

Unit cell a=7.155 b=7.155 c=6.299 alpha=90.00 beta=90.00 gamma=90.00
Space group I4_1md (No. 109)
One atom of each set of equivalent atoms:
Ti1 0.000 0.296 0.000 [8 per cell]
Ti2 0.000 0.301 0.480 [8 per cell]
B1 0.000 0.000 0.497 [4 per cell]
O1 0.000 0.000 0.981 [4 per cell]

# 7
This entry pairs a crystal structure of Tl4B8O17 with its calculated powder diffractogram. Radiation: Cu Kα (weighted mean of Kα1 and Kα2). Structure: a cell relaxed with PBE.

The 10 most intense peaks (2θ from 10° to 90°), by angle:
2θ = 15.49°, intensity 74; 2θ = 15.91°, intensity 86; 2θ = 17.80°, intensity 54; 2θ = 18.28°, intensity 71; 2θ = 22.84°, intensity 51; 2θ = 23.75°, intensity 100; 2θ = 24.30°, intensity 85; 2θ = 25.15°, intensity 55; 2θ = 25.95°, intensity 71; 2θ = 33.09°, intensity 49

Unit cell a=6.929 b=9.390 c=13.018 alpha=80.68 beta=86.07 gamma=88.70
Space group P-1 (No. 2)
One atom of each set of equivalent atoms:
Tl1 0.086 0.469 0.164 [2 per cell]
Tl2 0.202 0.631 0.451 [2 per cell]
Tl3 0.398 0.223 0.072 [2 per cell]
Tl4 0.413 0.072 0.676 [2 per cell]
B1 0.064 0.897 0.709 [2 per cell]
B2 0.203 0.957 0.221 [2 per cell]
B3 0.268 0.197 0.299 [2 per cell]
B4 0.273 0.391 0.776 [2 per cell]
B5 0.306 0.876 0.051 [2 per cell]
B6 0.391 0.714 0.214 [2 per cell]
B7 0.424 0.266 0.448 [2 per cell]
B8 0.460 0.441 0.280 [2 per cell]
O1 0.008 0.975 0.265 [2 per cell]
O2 0.056 0.221 0.290 [2 per cell]
O3 0.077 0.368 0.784 [2 per cell]
O4 0.176 0.369 0.037 [2 per cell]
O5 0.214 0.976 0.104 [2 per cell]
O6 0.256 0.884 0.678 [2 per cell]
O7 0.295 0.823 0.269 [2 per cell]
O8 0.320 0.168 0.407 [2 per cell]
O9 0.326 0.569 0.260 [2 per cell]
O10 0.333 0.075 0.244 [2 per cell]
O11 0.349 0.525 0.773 [2 per cell]
O12 0.360 0.910 0.945 [2 per cell]
O13 0.362 0.741 0.101 [2 per cell]
O14 0.366 0.325 0.236 [2 per cell]
O15 0.395 0.271 0.771 [2 per cell]
O16 0.472 0.400 0.393 [2 per cell]
O17 0.486 0.238 0.547 [2 per cell]

# 8
This entry pairs a crystal structure of Tl2BO4 with its calculated powder diffractogram. Radiation: Cu Kα (weighted mean of Kα1 and Kα2). Structure: a cell relaxed with PBE.

The 10 most intense peaks (2θ from 10° to 90°), by angle:
2θ = 23.43°, intensity 49; 2θ = 23.64°, intensity 97; 2θ = 33.53°, intensity 100; 2θ = 33.67°, intensity 40; 2θ = 41.43°, intensity 53; 2θ = 54.11°, intensity 25; 2θ = 54.41°, intensity 23; 2θ = 54.51°, intensity 26; 2θ = 59.84°, intensity 21; 2θ = 60.13°, intensity 35

Unit cell a=7.521 b=7.535 c=7.593 alpha=90.00 beta=90.00 gamma=90.00
Space group Fmm2 (No. 42)
One atom of each set of equivalent atoms:
Tl1 0.250 0.250 0.000 [8 per cell]
B1 0.000 0.000 0.250 [4 per cell]
O1 0.000 0.169 0.352 [8 per cell]
O2 0.169 0.000 0.147 [8 per cell]

# 9
This entry pairs a crystal structure of TlBO2 with its calculated powder diffractogram. Radiation: Cu Kα (weighted mean of Kα1 and Kα2). Structure: a cell relaxed with PBE.

The 10 most intense peaks (2θ from 10° to 90°), by angle:
2θ = 18.94°, intensity 44; 2θ = 23.33°, intensity 16; 2θ = 25.02°, intensity 52; 2θ = 27.80°, intensity 100; 2θ = 30.09°, intensity 28; 2θ = 30.65°, intensity 29; 2θ = 32.35°, intensity 15; 2θ = 42.05°, intensity 18; 2θ = 43.86°, intensity 28; 2θ = 51.35°, intensity 16

Unit cell a=7.626 b=7.626 c=9.472 alpha=90.00 beta=90.00 gamma=90.00
Space group P4_1 (No. 76)
One atom of each set of equivalent atoms:
Tl1 0.021 0.731 0.000 [4 per cell]
Tl2 0.267 0.275 0.844 [4 per cell]
B1 0.143 0.461 0.263 [4 per cell]
B2 0.408 0.549 0.116 [4 per cell]
O1 0.033 0.553 0.781 [4 per cell]
O2 0.218 0.504 0.132 [4 per cell]
O3 0.256 0.427 0.377 [4 per cell]
O4 0.466 0.486 0.977 [4 per cell]

# 10
This entry pairs a crystal structure of YUB2O8 with its calculated powder diffractogram. Radiation: Cu Kα (weighted mean of Kα1 and Kα2). Structure: a cell relaxed with PBE.

The 10 most intense peaks (2θ from 10° to 90°), by angle:
2θ = 16.10°, intensity 18; 2θ = 20.75°, intensity 100; 2θ = 31.05°, intensity 31; 2θ = 31.71°, intensity 88; 2θ = 32.54°, intensity 17; 2θ = 44.35°, intensity 40; 2θ = 45.59°, intensity 21; 2θ = 50.46°, intensity 31; 2θ = 51.47°, intensity 23; 2θ = 65.77°, intensity 21

Unit cell a=4.647 b=4.647 c=11.008 alpha=90.00 beta=90.00 gamma=90.00
Space group I-4 (No. 82)
One atom of each set of equivalent atoms:
Y1 0.000 0.000 0.000 [2 per cell]
U1 0.000 0.500 0.750 [2 per cell]
B1 0.000 0.000 0.500 [2 per cell]
B2 0.000 0.500 0.250 [2 per cell]
O1 0.120 0.241 0.574 [8 per cell]
O2 0.141 0.744 0.185 [8 per cell]